[1]
Simulated powder XRD pattern of Ca5Ho for Cu Kα, 1.54184 Å, from a DFT-relaxed cell (GGA-PBE, Alexandria).

Structure:
Cell lengths 9.8366, 9.8366, 4.0425 Å; angles 90.00, 90.00, 143.24 degrees
Fractional coordinates of all 6 atoms:
Ca 0.0000 0.0000 0.0000
Ca 0.1677 0.8323 0.5000
Ca 0.3411 0.6589 0.0000
Ca 0.6589 0.3411 0.0000
Ca 0.8323 0.1677 0.5000
Ho 0.5000 0.5000 0.5000

The 12 most intense peaks (15° ≤ 2θ ≤ 90°), by angle:
2theta, d [Å], I/Imax
15.05, 5.887, 27.0
20.21, 4.393, 13.3
26.75, 3.332, 12.7
28.74, 3.107, 56.0
30.04, 2.975, 100.0
35.79, 2.509, 8.3
41.09, 2.197, 20.3
44.84, 2.021, 8.9
51.67, 1.769, 19.6
51.79, 1.765, 20.3
54.13, 1.694, 20.3
62.44, 1.487, 13.2


[2]
Simulated powder XRD pattern of LiCaHoI6 for Cu Kα, 1.54184 Å, from a DFT-relaxed cell (GGA-PBE, Alexandria).

Structure:
Cell lengths 7.6852, 7.6852, 13.9344 Å; angles 90.00, 90.00, 120.00 degrees
Fractional coordinates of all 18 atoms:
Li 0.0000 0.0000 0.0000
Li 0.0000 0.0000 0.5000
Ca 0.3333 0.6667 0.2500
Ca 0.6667 0.3333 0.7500
Ho 0.3333 0.6667 0.7500
Ho 0.6667 0.3333 0.2500
I 0.0115 0.3439 0.6244
I 0.0115 0.6676 0.8756
I 0.3324 0.3439 0.8756
I 0.3324 0.9885 0.6244
I 0.3439 0.0115 0.1244
I 0.3439 0.3324 0.3756
I 0.6561 0.6676 0.6244
I 0.6561 0.9885 0.8756
I 0.6676 0.0115 0.3756
I 0.6676 0.6561 0.1244
I 0.9885 0.3324 0.1244
I 0.9885 0.6561 0.3756

The 12 most intense peaks (15° ≤ 2θ ≤ 90°), by angle:
2theta, d [Å], I/Imax
25.57, 3.484, 11.6
26.49, 3.365, 100.0
34.76, 2.581, 36.1
40.67, 2.219, 30.8
45.64, 1.988, 22.2
48.66, 1.871, 11.3
49.19, 1.852, 17.4
54.54, 1.682, 9.9
65.67, 1.422, 14.2
68.49, 1.370, 12.9
70.22, 1.340, 9.6
77.52, 1.231, 8.8


[3]
Simulated powder XRD pattern of CaHo2In9 for Cu Kα, 1.54184 Å, from a DFT-relaxed cell (GGA-PBE, Alexandria).

Structure:
Cell lengths 4.6617, 4.6617, 13.9660 Å; angles 90.00, 90.00, 90.00 degrees
Fractional coordinates of all 12 atoms:
Ca 0.0000 0.0000 0.0000
Ho 0.0000 0.0000 0.3366
Ho 0.0000 0.0000 0.6634
In 0.0000 0.5000 0.1690
In 0.0000 0.5000 0.5000
In 0.0000 0.5000 0.8310
In 0.5000 0.0000 0.1690
In 0.5000 0.0000 0.5000
In 0.5000 0.0000 0.8310
In 0.5000 0.5000 0.0000
In 0.5000 0.5000 0.3336
In 0.5000 0.5000 0.6664

The 12 most intense peaks (15° ≤ 2θ ≤ 90°), by angle:
2theta, d [Å], I/Imax
20.08, 4.422, 2.7
22.94, 3.877, 1.5
27.81, 3.208, 1.1
32.03, 2.795, 1.1
33.30, 2.690, 100.0
37.53, 2.397, 1.3
38.65, 2.330, 49.7
55.80, 1.647, 33.2
66.56, 1.405, 38.4
69.94, 1.345, 11.0
82.83, 1.165, 3.5
82.97, 1.164, 1.7


[4]
Simulated powder XRD pattern of CaHoIn for Cu Kα, 1.54184 Å, from a DFT-relaxed cell (GGA-PBE, Alexandria).

Structure:
Cell lengths 7.4279, 7.4279, 7.4279 Å; angles 151.72, 151.72, 40.42 degrees
Fractional coordinates of all 3 atoms:
Ca 0.0000 0.0000 0.0000
Ho 0.7068 0.7068 0.0000
In 0.3457 0.3457 0.0000

The 12 most intense peaks (15° ≤ 2θ ≤ 90°), by angle:
2theta, d [Å], I/Imax
25.36, 3.512, 14.3
31.28, 2.860, 100.0
34.97, 2.566, 40.6
37.35, 2.408, 13.1
38.75, 2.324, 10.4
40.81, 2.211, 20.6
50.29, 1.814, 14.2
53.18, 1.722, 16.4
60.42, 1.532, 29.5
64.66, 1.442, 8.3
65.24, 1.430, 8.7
66.69, 1.403, 9.7


[5]
Simulated powder XRD pattern of CaHo5In3 for Cu Kα, 1.54184 Å, from a DFT-relaxed cell (GGA-PBE, Alexandria).

Structure:
Cell lengths 9.3149, 9.3149, 6.7525 Å; angles 90.00, 90.00, 120.00 degrees
Fractional coordinates of all 18 atoms:
Ca 0.0000 0.0000 0.0000
Ca 0.0000 0.0000 0.5000
Ho 0.0000 0.3347 0.2500
Ho 0.0000 0.6653 0.7500
Ho 0.3333 0.6667 0.0000
Ho 0.3333 0.6667 0.5000
Ho 0.3347 0.0000 0.2500
Ho 0.3347 0.3347 0.7500
Ho 0.6653 0.0000 0.7500
Ho 0.6653 0.6653 0.2500
Ho 0.6667 0.3333 0.0000
Ho 0.6667 0.3333 0.5000
In 0.0000 0.3344 0.7500
In 0.0000 0.6656 0.2500
In 0.3344 0.0000 0.7500
In 0.3344 0.3344 0.2500
In 0.6656 0.0000 0.2500
In 0.6656 0.6656 0.7500

The 12 most intense peaks (15° ≤ 2θ ≤ 90°), by angle:
2theta, d [Å], I/Imax
26.40, 3.376, 9.3
32.76, 2.734, 89.0
33.32, 2.689, 100.0
43.00, 2.103, 15.0
47.43, 1.917, 31.5
54.35, 1.688, 8.2
59.19, 1.561, 32.3
59.55, 1.552, 18.6
65.26, 1.430, 28.2
69.97, 1.344, 11.4
79.43, 1.206, 13.7
84.85, 1.143, 13.8


[6]
Simulated powder XRD pattern of Ca2Ho2In3 for Cu Kα, 1.54184 Å, from a DFT-relaxed cell (GGA-PBE, Alexandria).

Structure:
Cell lengths 12.2104, 12.2104, 3.3726 Å; angles 90.00, 90.00, 157.00 degrees
Fractional coordinates of all 7 atoms:
Ca 0.0709 0.9291 0.0000
Ca 0.9291 0.0709 0.0000
Ho 0.2068 0.7932 0.0000
Ho 0.7932 0.2068 0.0000
In 0.3474 0.6526 0.5000
In 0.5000 0.5000 0.5000
In 0.6526 0.3474 0.5000

The 12 most intense peaks (15° ≤ 2θ ≤ 90°), by angle:
2theta, d [Å], I/Imax
22.29, 3.988, 16.1
27.48, 3.246, 19.3
31.99, 2.798, 100.0
32.51, 2.754, 63.4
34.24, 2.619, 33.8
34.84, 2.575, 21.4
36.93, 2.434, 37.5
37.49, 2.399, 42.0
40.30, 2.238, 18.0
55.80, 1.647, 13.5
64.52, 1.444, 25.4
66.89, 1.399, 15.6


[7]
Simulated powder XRD pattern of CaHoIn4O8 for Cu Kα, 1.54184 Å, from a DFT-relaxed cell (GGA-PBE, Alexandria).

Structure:
Cell lengths 6.7141, 6.7141, 6.7141 Å; angles 59.48, 59.48, 59.48 degrees
Fractional coordinates of all 14 atoms:
Ca 0.0000 0.0000 0.0000
Ho 0.6260 0.6260 0.6260
In 0.1208 0.6254 0.6254
In 0.2494 0.2494 0.2494
In 0.6254 0.1208 0.6254
In 0.6254 0.6254 0.1208
O 0.3813 0.3813 0.8448
O 0.3813 0.8448 0.3813
O 0.3871 0.3871 0.3871
O 0.4136 0.8628 0.8628
O 0.8448 0.3813 0.3813
O 0.8599 0.8599 0.8599
O 0.8628 0.4136 0.8628
O 0.8628 0.8628 0.4136

The 12 most intense peaks (15° ≤ 2θ ≤ 90°), by angle:
2theta, d [Å], I/Imax
16.28, 5.446, 43.2
26.77, 3.331, 16.7
31.21, 2.866, 40.0
31.42, 2.848, 100.0
32.54, 2.752, 11.7
32.89, 2.723, 34.2
38.06, 2.364, 34.7
50.14, 1.819, 24.5
50.26, 1.815, 20.6
54.69, 1.678, 30.7
55.15, 1.665, 30.1
77.81, 1.228, 16.0


[8]
Simulated powder XRD pattern of Ca2Ho2Ir3 for Cu Kα, 1.54184 Å, from a DFT-relaxed cell (GGA-PBE, Alexandria).

Structure:
Cell lengths 4.7867, 4.7867, 8.5099 Å; angles 106.38, 106.38, 60.02 degrees
Fractional coordinates of all 7 atoms:
Ca 0.1265 0.1265 0.3803
Ca 0.8735 0.8735 0.6197
Ho 0.3758 0.3758 0.1282
Ho 0.6242 0.6242 0.8718
Ir 0.0000 0.0000 0.0000
Ir 0.2571 0.2571 0.7723
Ir 0.7429 0.7429 0.2277

The 12 most intense peaks (15° ≤ 2θ ≤ 90°), by angle:
2theta, d [Å], I/Imax
22.68, 3.921, 13.0
28.38, 3.145, 17.4
36.84, 2.440, 99.8
37.58, 2.394, 100.0
39.27, 2.294, 30.7
46.84, 1.939, 15.5
53.64, 1.709, 34.0
65.89, 1.418, 15.4
67.34, 1.391, 34.2
67.81, 1.382, 18.3
74.39, 1.275, 8.1
78.40, 1.220, 9.4


[9]
Simulated powder XRD pattern of CaLa14Ho for Cu Kα, 1.54184 Å, from a DFT-relaxed cell (GGA-PBE, Alexandria).

Structure:
Cell lengths 7.4576, 7.4576, 10.5307 Å; angles 90.00, 90.00, 90.08 degrees
Fractional coordinates of all 16 atoms:
Ca 0.0000 0.0000 0.0000
La 0.0000 0.0000 0.5000
La 0.0000 0.5000 0.0000
La 0.0000 0.5000 0.5000
La 0.2558 0.2558 0.2525
La 0.2558 0.2558 0.7475
La 0.2560 0.7440 0.2526
La 0.2560 0.7440 0.7474
La 0.5000 0.0000 0.0000
La 0.5000 0.0000 0.5000
La 0.5000 0.5000 0.5000
La 0.7440 0.2560 0.2526
La 0.7440 0.2560 0.7474
La 0.7442 0.7442 0.2525
La 0.7442 0.7442 0.7475
Ho 0.5000 0.5000 0.0000

The 12 most intense peaks (15° ≤ 2θ ≤ 90°), by angle:
2theta, d [Å], I/Imax
28.07, 3.178, 1.1
29.35, 3.043, 100.0
34.02, 2.635, 50.7
48.88, 1.863, 36.2
58.02, 1.590, 28.6
58.09, 1.588, 14.4
60.89, 1.522, 12.4
71.52, 1.319, 1.9
71.67, 1.317, 3.8
79.22, 1.209, 17.1
81.65, 1.179, 7.9
81.77, 1.178, 8.0


[10]
Simulated powder XRD pattern of Ca2La5Ho for Cu Kα, 1.54184 Å, from a DFT-relaxed cell (GGA-PBE, Alexandria).

Structure:
Cell lengths 11.4590, 11.4590, 11.4590 Å; angles 153.50, 153.50, 37.82 degrees
Fractional coordinates of all 8 atoms:
Ca 0.2494 0.2494 0.0000
Ca 0.7506 0.7506 0.0000
La 0.0000 0.0000 0.0000
La 0.1170 0.6170 0.5000
La 0.3830 0.8830 0.5000
La 0.6170 0.1170 0.5000
La 0.8830 0.3830 0.5000
Ho 0.5000 0.5000 0.0000

The 12 most intense peaks (15° ≤ 2θ ≤ 90°), by angle:
2theta, d [Å], I/Imax
29.15, 3.064, 100.0
33.05, 2.710, 16.7
34.14, 2.626, 33.6
34.63, 2.590, 10.6
48.25, 1.886, 22.8
49.06, 1.857, 12.0
56.65, 1.625, 12.4
58.08, 1.588, 28.1
60.43, 1.532, 11.5
78.17, 1.223, 9.6
79.40, 1.207, 5.6
82.05, 1.174, 5.3


[11]
Simulated powder XRD pattern of CaLaHo4S8 for Cu Kα, 1.54184 Å, from a DFT-relaxed cell (GGA-PBE, Alexandria).

Structure:
Cell lengths 8.2025, 8.2025, 8.2025 Å; angles 58.96, 58.96, 58.96 degrees
Fractional coordinates of all 14 atoms:
Ca 0.0000 0.0000 0.0000
La 0.3725 0.3725 0.3725
Ho 0.3720 0.3720 0.8794
Ho 0.3720 0.8794 0.3720
Ho 0.7479 0.7479 0.7479
Ho 0.8794 0.3720 0.3720
S 0.1264 0.1264 0.5945
S 0.1264 0.5945 0.1264
S 0.1347 0.1347 0.1347
S 0.1426 0.6246 0.6246
S 0.5945 0.1264 0.1264
S 0.6158 0.6158 0.6158
S 0.6246 0.1426 0.6246
S 0.6246 0.6246 0.1426

The 12 most intense peaks (15° ≤ 2θ ≤ 90°), by angle:
2theta, d [Å], I/Imax
21.67, 4.100, 20.7
25.42, 3.504, 48.3
25.72, 3.464, 100.0
25.86, 3.445, 57.4
26.98, 3.304, 29.3
31.09, 2.877, 70.0
40.48, 2.229, 26.4
40.77, 2.213, 33.7
40.97, 2.203, 29.5
44.18, 2.050, 64.5
44.91, 2.018, 63.2
82.32, 1.171, 20.3


[12]
Simulated powder XRD pattern of LiCa2HoSe4 for Cu Kα, 1.54184 Å, from a DFT-relaxed cell (GGA-PBE, Alexandria).

Structure:
Cell lengths 7.1026, 4.1447, 7.1153 Å; angles 90.00, 108.75, 90.00 degrees
Fractional coordinates of all 8 atoms:
Li 0.0000 0.0000 0.0000
Ca 0.0000 0.5000 0.5000
Ca 0.5000 0.0000 0.5000
Ho 0.5000 0.5000 0.0000
Se 0.2503 0.5000 0.2409
Se 0.2526 0.0000 0.7632
Se 0.7474 0.0000 0.2368
Se 0.7497 0.5000 0.7591

The 12 most intense peaks (15° ≤ 2θ ≤ 90°), by angle:
2theta, d [Å], I/Imax
15.33, 5.779, 19.4
21.45, 4.143, 18.1
25.23, 3.530, 14.6
30.52, 2.929, 100.0
30.95, 2.889, 47.9
43.70, 2.071, 36.4
44.02, 2.057, 70.9
54.49, 1.684, 27.7
72.10, 1.310, 15.8
72.33, 1.306, 15.6
73.03, 1.296, 14.9
80.47, 1.194, 17.4